# 1
For Rb2NaYCl6, DFT lattice parameters and positions (PBE) gives the computed X-ray diffraction stick pattern in this record (copper Kα).

Crystal structure
Cell lengths 10.8020, 10.8020, 10.8020 Å; angles 90.00, 90.00, 90.00 degrees
Space group Fm-3m (No. 225)
Inequivalent atoms, fractional coordinates:
Rb 0.2500 0.2500 0.2500 (multiplicity 8)
Na 0.0000 0.0000 0.0000 (multiplicity 4)
Y 0.0000 0.0000 0.5000 (multiplicity 4)
Cl 0.0000 0.0000 0.2558 (multiplicity 24)

Principal peaks in the range 2θ from 5° to 70°, by angle:
(hkl)	two_theta	intensity
1 1 1	14.2	24
2 2 0	23.3	90
2 2 2	28.6	60
4 0 0	33.2	100
4 2 2	40.9	42
4 4 0	47.6	66
4 4 4	59.3	22
6 4 2	64.6	22

---

# 2
For Er2CdGe2, DFT lattice parameters and positions (PBE) gives the computed X-ray diffraction stick pattern in this record (copper Kα).

Crystal structure
Cell lengths 7.2515, 7.2515, 4.1826 Å; angles 90.00, 90.00, 90.00 degrees
Space group P4/mbm (No. 127)
Inequivalent atoms, fractional coordinates:
Er 0.1776 0.3224 0.0000 (multiplicity 4)
Cd 0.0000 0.0000 0.5000 (multiplicity 2)
Ge 0.1229 0.6229 0.5000 (multiplicity 4)

Principal peaks in the range 2θ from 5° to 70°, by angle:
(hkl)	two_theta	intensity
2 1 0	27.5	19
2 0 1	32.7	48
2 1 1	35.0	100
3 1 0	39.3	31
0 0 2	43.3	19
4 1 1	56.8	23
3 1 2	59.9	17
5 1 1	69.9	19

---

# 3
For Zn3AgAs3O12, DFT lattice parameters and positions (PBE) gives the computed X-ray diffraction stick pattern in this record (copper Kα).

Crystal structure
Cell lengths 11.8988, 12.8658, 6.9085 Å; angles 90.00, 113.22, 90.00 degrees
Space group C2/c (No. 15)
Inequivalent atoms, fractional coordinates:
Zn 0.0000 0.2168 0.2500 (multiplicity 4)
Zn 0.2098 0.3379 0.1205 (multiplicity 8)
Ag 0.0000 0.4928 0.7500 (multiplicity 4)
As 0.0000 0.1920 0.7500 (multiplicity 4)
As 0.2275 0.3830 0.6148 (multiplicity 8)
O 0.0378 0.2682 0.9771 (multiplicity 8)
O 0.1187 0.1114 0.7654 (multiplicity 8)
O 0.1239 0.0968 0.3364 (multiplicity 8)
O 0.1395 0.4998 0.0848 (multiplicity 8)
O 0.1507 0.3261 0.3693 (multiplicity 8)
O 0.2076 0.3148 0.8137 (multiplicity 8)

Principal peaks in the range 2θ from 5° to 70°, by angle:
(hkl)	two_theta	intensity
1 1 0	10.6	49
1 3 0	22.3	26
0 0 2	28.1	27
3 1 -2	30.0	21
2 4 0	32.3	100
4 0 0	32.8	23
1 3 -2	33.4	48
4 0 -2	33.8	21